Record 1
Starting from a cell relaxed with PBE, the PXRD pattern of Ca2Cd16Sn was simulated for Cu Kα (λ = 1.5418 Å).

Atomic structure:
a = 10.3041 Å, b = 10.3041 Å, c = 14.8526 Å
α = 90.00°, β = 90.00°, γ = 120.00°
Space group R3m (No. 160, hexagonal axes)
One atom of each set of equivalent atoms:
Ca 0.0000 0.0000 0.0000
Ca 0.0000 0.0000 0.3275
Cd 0.0000 0.0000 0.5707
Cd 0.0020 0.3118 0.6643
Cd 0.0265 0.5132 0.1605
Cd 0.0326 0.5163 0.8202
Cd 0.1670 0.3340 0.8459
Sn 0.0000 0.0000 0.7702

Top 10 peaks for 2θ = 10–80°, most intense first:
- 2θ = 39.43°, I 100, (2 2 3)
- 2θ = 35.20°, I 95, (0 3 3)
- 2θ = 36.30°, I 47, (0 0 6)
- 2θ = 34.83°, I 42, (2 2 0)
- 2θ = 40.43°, I 35, (1 1 6)
- 2θ = 17.21°, I 30, (1 1 0)
- 2θ = 30.04°, I 29, (3 0 0)
- 2θ = 62.44°, I 22, (6 0 0)
- 2θ = 64.58°, I 21, (0 3 9)
- 2θ = 60.49°, I 18, (4 1 6)

---

Record 2
Starting from a cell relaxed with PBE, the PXRD pattern of Ca6Cd23Sn was simulated for Cu Kα (λ = 1.5418 Å).

Atomic structure:
a = 14.313 Å, b = 14.313 Å, c = 14.313 Å
α = 90.00°, β = 90.00°, γ = 90.00°
Space group Fm-3m (No. 225)
One atom of each set of equivalent atoms:
Ca 0.000 0.000 0.225
Cd 0.000 0.000 0.500
Cd 0.000 0.250 0.250
Cd 0.126 0.126 0.374
Cd 0.153 0.153 0.153
Sn 0.000 0.000 0.000

Top 10 peaks for 2θ = 10–80°, most intense first:
- 2θ = 35.48°, I 100, (4 4 0)
- 2θ = 63.70°, I 22, (8 4 4)
- 2θ = 21.51°, I 14, (2 2 2)
- 2θ = 41.87°, I 12, (6 2 2)
- 2θ = 51.05°, I 12, (8 0 0)
- 2θ = 32.50°, I 11, (3 3 3)
- 2θ = 27.88°, I 6, (4 2 0)
- 2θ = 37.71°, I 6, (6 0 0)
- 2θ = 79.18°, I 6, (10 6 2)
- 2θ = 75.09°, I 6, (8 8 0)

---

Record 3
Starting from a cell relaxed with PBE, the PXRD pattern of Ca3CdSn3 was simulated for Cu Kα (λ = 1.5418 Å).

Atomic structure:
a = 11.666 Å, b = 4.863 Å, c = 15.284 Å
α = 90.00°, β = 109.29°, γ = 90.00°
Space group C2/m (No. 12)
One atom of each set of equivalent atoms:
Ca 0.029 0.000 0.381
Ca 0.099 0.000 0.923
Ca 0.231 0.000 0.223
Cd 0.231 0.500 0.392
Sn 0.016 0.500 0.229
Sn 0.118 0.500 0.075
Sn 0.130 0.500 0.552

Top 10 peaks for 2θ = 10–80°, most intense first:
- 2θ = 36.00°, I 100, (3 1 2)
- 2θ = 36.96°, I 75, (0 2 0)
- 2θ = 19.96°, I 69, (1 1 0)
- 2θ = 33.96°, I 57, (3 1 -4)
- 2θ = 29.74°, I 49, (1 1 -4)
- 2θ = 29.11°, I 37, (1 1 3)
- 2θ = 24.64°, I 34, (2 0 -4)
- 2θ = 15.21°, I 31, (2 0 -1)
- 2θ = 43.01°, I 23, (5 1 -2)
- 2θ = 37.40°, I 22, (0 0 6)